[1]
For Ca3SbF, a crystal structure in Alexandria, relaxed with GGA-PBE gives the calculated XRD peak list in this record (a wavelength of 1.5418 Å).
Lines closer than 0.1° are merged.

The 10 most intense peaks (10 to 90 degrees two-theta), low angle first:
Position (°2θ)  Rel. int.  (hkl)
10.41  100  0 0 1
21.32  34  0 2 0
24.42  35  1 -1 1
27.87  31  0 2 2
28.00  20  1 1 -1
29.82  25  1 2 0
31.95  22  0 1 3
32.82  24  1 0 -2
37.86  23  -1 2 2
41.23  34  2 0 1

Structure:
Unit cell a=4.382 b=8.420 c=8.799 alpha=81.88 beta=77.17 gamma=87.75
Space group P-1 (No. 2)
Symmetry-distinct sites (fractional):
Ca  0.038  0.256  0.044
Ca  0.211  0.107  0.641
Ca  0.345  0.528  0.295
Sb  0.196  0.739  0.587
F  0.144  0.318  0.782

[2]
For HfSiOs, a crystal structure in Alexandria, relaxed with GGA-PBE gives the calculated XRD peak list in this record (a wavelength of 1.5418 Å).
Lines closer than 0.1° are merged.

The 10 most intense peaks (10 to 90 degrees two-theta), low angle first:
Position (°2θ)  Rel. int.  (hkl)
26.88  23  0 3 1
28.65  39  2 2 0
36.26  45  2 0 2
36.34  100  2 3 1
39.62  62  2 2 2
39.73  27  2 4 0
41.42  34  0 1 3
41.59  63  0 5 1
49.15  27  4 0 0
66.22  27  4 1 3

Structure:
Unit cell a=7.415 b=11.474 c=6.661 alpha=90.00 beta=90.00 gamma=90.00
Space group Ima2 (No. 46)
Symmetry-distinct sites (fractional):
Hf  0.250  0.003  0.000
Hf  0.250  0.220  0.355
Hf  0.250  0.698  0.878
Si  0.006  0.667  0.579
Si  0.250  0.026  0.589
Os  0.000  0.000  0.333
Os  0.027  0.624  0.205

[3]
For HoEr3Ru4, a crystal structure in Alexandria, relaxed with GGA-PBE gives the calculated XRD peak list in this record (a wavelength of 1.5418 Å).
Lines closer than 0.1° are merged.

The 10 most intense peaks (10 to 90 degrees two-theta), low angle first:
Position (°2θ)  Rel. int.  (hkl)
26.42  6  1 1 0
37.71  100  2 0 0
46.63  2  2 0 2
54.29  6  0 0 4
54.45  11  2 2 0
61.51  2  3 1 0
68.01  12  2 0 4
68.12  23  3 1 2
80.49  7  2 2 4
80.63  4  4 0 0

Structure:
Unit cell a=4.766 b=4.766 c=6.759 alpha=90.00 beta=90.00 gamma=90.00
Space group P4/mmm (No. 123)
Symmetry-distinct sites (fractional):
Ho  0.000  0.000  0.000
Er  0.000  0.000  0.500
Er  0.500  0.500  0.000
Er  0.500  0.500  0.500
Ru  0.000  0.500  0.251